Entry 1:
CrPO4: computed powder diffractogram (CuKα), based on a crystal structure in the Materials Project, relaxed with PBE+U.

Atomic structure:
```
CrPO4
1.0
5.976 0.000 0.000
0.000 7.713 0.000
0.000 0.000 11.101
Cr P O
8 8 32
direct
0.107 0.171 0.067
0.107 0.329 0.567
0.393 0.671 0.067
0.393 0.829 0.567
0.607 0.171 0.433
0.607 0.329 0.933
0.893 0.671 0.433
0.893 0.829 0.933
0.107 0.052 0.357
0.107 0.448 0.857
0.393 0.552 0.357
0.393 0.948 0.857
0.607 0.052 0.143
0.607 0.448 0.643
0.893 0.552 0.143
0.893 0.948 0.643
0.011 0.123 0.645
0.011 0.377 0.145
0.032 0.702 0.079
0.032 0.798 0.579
0.177 0.536 0.441
0.177 0.964 0.941
0.178 0.098 0.231
0.178 0.402 0.731
0.322 0.598 0.231
0.322 0.902 0.731
0.323 0.036 0.441
0.323 0.464 0.941
0.468 0.202 0.079
0.468 0.298 0.579
0.489 0.623 0.645
0.489 0.877 0.145
0.511 0.123 0.855
0.511 0.377 0.355
0.532 0.702 0.421
0.532 0.798 0.921
0.677 0.536 0.059
0.677 0.964 0.559
0.678 0.098 0.269
0.678 0.402 0.769
0.822 0.598 0.269
0.822 0.902 0.769
0.823 0.036 0.059
0.823 0.464 0.559
0.968 0.202 0.421
0.968 0.298 0.921
0.989 0.623 0.855
0.989 0.877 0.355
```

Most intense lines, 2θ from 5° to 70°, by angle:
2θ (°)	d_spacing	Rel. int.
15.97	5.550	67
24.44	3.643	100
30.69	2.913	87
31.98	2.798	78
32.13	2.786	80
33.15	2.702	61

Entry 2:
CrPO4: computed powder diffractogram (CuKα), based on a crystal structure in the Materials Project, relaxed with PBE+U.

Atomic structure:
```
CrPO4
1.0
7.370 0.000 0.000
-3.685 6.383 0.000
0.000 0.000 9.498
Cr P O
6 6 24
direct
0.064 0.457 0.000
0.393 0.936 0.000
0.457 0.064 0.500
0.543 0.607 0.000
0.607 0.543 0.500
0.936 0.393 0.500
0.000 0.000 0.442
0.000 0.000 0.942
0.333 0.667 0.305
0.333 0.667 0.694
0.667 0.333 0.194
0.667 0.333 0.805
0.000 0.000 0.287
0.000 0.000 0.787
0.107 0.570 0.646
0.113 0.881 0.010
0.119 0.232 0.010
0.140 0.465 0.353
0.232 0.119 0.510
0.325 0.860 0.353
0.333 0.667 0.131
0.333 0.667 0.864
0.430 0.537 0.646
0.463 0.893 0.646
0.465 0.140 0.853
0.535 0.675 0.353
0.537 0.430 0.146
0.570 0.107 0.146
0.667 0.333 0.364
0.667 0.333 0.631
0.675 0.535 0.853
0.768 0.887 0.010
0.860 0.325 0.853
0.881 0.113 0.510
0.887 0.768 0.510
0.893 0.463 0.146
```

Most intense lines, 2θ from 5° to 70°, by angle:
2θ (°)	d_spacing	Rel. int.
13.87	6.383	49
18.69	4.749	68
24.15	3.685	100
30.71	2.911	90
31.54	2.836	65
33.84	2.649	50

Entry 3:
Cr2P5O15: computed powder diffractogram (CuKα), based on a crystal structure in the Materials Project, relaxed with PBE+U.

Atomic structure:
```
Cr2P5O15
1.0
5.304 0.000 0.000
0.000 8.358 0.000
-4.356 0.000 12.935
Cr P O
4 10 30
direct
0.000 0.204 0.000
0.000 0.796 0.500
0.148 0.204 0.427
0.148 0.796 0.927
0.074 0.428 0.214
0.074 0.572 0.714
0.411 0.325 0.862
0.411 0.675 0.362
0.560 0.001 0.320
0.560 0.999 0.820
0.588 0.001 0.607
0.588 0.999 0.107
0.738 0.325 0.565
0.738 0.675 0.065
0.160 0.341 0.134
0.160 0.659 0.634
0.201 0.298 0.911
0.201 0.702 0.411
0.299 0.019 0.537
0.299 0.981 0.037
0.318 0.452 0.770
0.318 0.548 0.270
0.382 0.110 0.353
0.382 0.890 0.853
0.423 0.169 0.790
0.423 0.831 0.290
0.456 0.358 0.500
0.456 0.642 0.000
0.573 0.067 0.213
0.573 0.933 0.713
0.691 0.360 0.927
0.691 0.640 0.427
0.730 0.170 0.638
0.730 0.830 0.138
0.763 0.110 0.073
0.763 0.890 0.573
0.828 0.454 0.656
0.828 0.546 0.156
0.850 0.013 0.889
0.850 0.987 0.389
0.947 0.299 0.515
0.947 0.701 0.015
0.989 0.342 0.294
0.989 0.658 0.794
```

Most intense lines, 2θ from 5° to 70°, by angle:
2θ (°)	d_spacing	Rel. int.
21.43	4.146	100
24.90	3.575	97
25.38	3.510	85
25.68	3.469	67
27.79	3.210	79
29.77	3.001	59

Entry 4:
CrPO5: computed powder diffractogram (CuKα), based on a crystal structure in the Materials Project, relaxed with PBE+U.

Atomic structure:
```
CrPO5
1.0
5.181 0.000 0.000
-0.206 8.384 0.000
-2.310 -2.033 8.786
Cr P O
4 4 20
direct
0.187 0.233 0.444
0.250 0.728 0.057
0.750 0.272 0.943
0.813 0.767 0.556
0.224 0.580 0.346
0.367 0.985 0.690
0.633 0.015 0.310
0.776 0.420 0.654
0.010 0.187 0.005
0.055 0.690 0.430
0.120 0.898 0.711
0.138 0.398 0.329
0.165 0.603 0.175
0.279 0.063 0.553
0.335 0.619 0.917
0.408 0.127 0.317
0.473 0.130 0.838
0.477 0.380 0.589
0.523 0.620 0.411
0.527 0.870 0.162
0.592 0.873 0.683
0.665 0.381 0.083
0.721 0.937 0.447
0.835 0.397 0.825
0.862 0.602 0.671
0.880 0.102 0.289
0.945 0.310 0.570
0.990 0.813 0.995
```

Most intense lines, 2θ from 5° to 70°, by angle:
2θ (°)	d_spacing	Rel. int.
10.07	8.786	46
20.66	4.300	39
21.47	4.138	100
26.23	3.397	76
26.74	3.334	62
29.34	3.044	27